(1)
This entry pairs a crystal structure of LiH4Rh3 with its simulated XRD peak list. Radiation: λ = 1.5418 Å (Cu Kα). Structure: a crystal structure in Alexandria, relaxed with GGA-PBE.
No peak broadening, texture or thermal motion is included.

Main lines, in order of rising 2θ (10 to 80 degrees two-theta):
2theta, I (rel.), h k l
22.41, 33, 1 0 0
31.90, 27, 1 1 0
39.33, 100, 1 1 1
45.74, 51, 2 0 0
51.51, 14, 2 1 0
56.84, 10, 2 1 1
66.68, 32, 2 2 0
71.31, 6, 3 0 0
75.83, 4, 3 1 0

Structural model:
abc: 3.967 3.967 3.967
angles: 90.00 90.00 90.00
Space group Pm-3m (No. 221)
Asymmetric unit:
Li 0.000 0.000 0.000 (multiplicity 1)
H 0.000 0.000 0.500 (multiplicity 3)
H 0.500 0.500 0.500 (multiplicity 1)
Rh 0.000 0.500 0.500 (multiplicity 3)

=====

(2)
This entry pairs a crystal structure of SrLiGa2Co with its simulated XRD peak list. Radiation: λ = 1.5418 Å (Cu Kα). Structure: a crystal structure in Alexandria, relaxed with GGA-PBE.
No peak broadening, texture or thermal motion is included.

Main lines, in order of rising 2θ (10 to 80 degrees two-theta):
2theta, I (rel.), h k l
18.40, 39, 0 0 1
26.76, 100, 1 0 1
33.19, 85, 1 1 1
37.29, 45, 0 0 2
39.11, 78, 2 0 0
48.02, 39, 2 1 1
55.14, 55, 2 0 2
56.50, 26, 2 2 0
67.12, 22, 3 1 1
69.67, 27, 2 2 2

Structural model:
abc: 4.607 4.607 4.822
angles: 90.00 90.00 90.00
Space group P4/mmm (No. 123)
Asymmetric unit:
Sr 0.000 0.000 0.000 (multiplicity 1)
Li 0.500 0.500 0.000 (multiplicity 1)
Ga 0.000 0.500 0.500 (multiplicity 2)
Co 0.500 0.500 0.500 (multiplicity 1)

=====

(3)
This entry pairs a crystal structure of Pm6PdSe5 with its simulated XRD peak list. Radiation: λ = 1.5418 Å (Cu Kα). Structure: a crystal structure in Alexandria, relaxed with GGA-PBE.
No peak broadening, texture or thermal motion is included.

Main lines, in order of rising 2θ (10 to 80 degrees two-theta):
2theta, I (rel.), h k l
25.98, 14, 1 3 -1
30.08, 100, 1 3 1
43.06, 74, 0 6 0
50.96, 5, 2 6 0
53.42, 26, 4 0 0
62.58, 8, 2 6 2
70.89, 17, 5 3 -3
71.00, 17, 1 9 1
78.86, 6, 4 6 -4
78.97, 19, 2 0 -6

Structural model:
abc: 7.286 12.594 7.276
angles: 90.00 109.57 90.00
Space group C2/m (No. 12)
Asymmetric unit:
Pm 0.246 0.166 0.246 (multiplicity 8)
Pm 0.247 0.000 0.750 (multiplicity 4)
Pd 0.000 0.000 0.000 (multiplicity 2)
Se 0.000 0.170 0.500 (multiplicity 4)
Se 0.000 0.335 0.000 (multiplicity 4)
Se 0.000 0.500 0.500 (multiplicity 2)